No. 1
Structure and calculated powder diffraction line list of TbTm2ScTl4 (a structure optimized by DFT (GGA-PBE); Cu Kα (λ = 1.5418 Å)).
Peak positions follow from Bragg's law for the DFT cell and can differ from measured ones.

Top 10 peaks for 10° ≤ 2θ ≤ 80°, by angle:
d [Å], 2θ (°), I (rel.)
4.315, 20.58, 4
3.736, 23.81, 9
3.431, 25.97, 3
2.646, 33.87, 100
2.638, 33.99, 100
1.868, 48.74, 36
1.530, 60.53, 19
1.524, 60.78, 57
1.323, 71.27, 12
1.319, 71.54, 12

Atomic structure:
Unit cell a=5.2755 b=5.2755 c=25.9730 alpha=90.00 beta=90.00 gamma=120.00
Space group R-3m (No. 166, hexagonal axes)
Inequivalent atoms, fractional coordinates:
Tb 0.0000 0.0000 0.0000 [3 per cell]
Tm 0.0000 0.0000 0.2487 [6 per cell]
Sc 0.0000 0.0000 0.5000 [3 per cell]
Tl 0.0000 0.0000 0.1267 [6 per cell]
Tl 0.0000 0.0000 0.3770 [6 per cell]

***

No. 2
Structure and calculated powder diffraction line list of KBe2PbF8 (a structure optimized by DFT (GGA-PBE); Cu Kα (λ = 1.5418 Å)).
Peak positions follow from Bragg's law for the DFT cell and can differ from measured ones.

Top 10 peaks for 10° ≤ 2θ ≤ 80°, by angle:
d [Å], 2θ (°), I (rel.)
8.099, 10.92, 88
4.272, 20.79, 62
4.087, 21.75, 62
3.531, 25.22, 100
3.237, 27.56, 38
2.505, 35.84, 36
2.488, 36.10, 27
2.131, 42.43, 59
2.120, 42.65, 23
1.837, 49.63, 25

Atomic structure:
Unit cell a=5.0108 b=5.0108 c=24.2964 alpha=90.00 beta=90.00 gamma=120.00
Space group R32 (No. 155, hexagonal axes)
Inequivalent atoms, fractional coordinates:
K 0.0000 0.0000 0.0000 [3 per cell]
Be 0.0000 0.0000 0.2504 [6 per cell]
Pb 0.0000 0.0000 0.5000 [3 per cell]
F 0.0000 0.0000 0.3115 [6 per cell]
F 0.0041 0.2971 0.7741 [18 per cell]

***

No. 3
Structure and calculated powder diffraction line list of YFe6B4 (a structure optimized by DFT (GGA-PBE); Cu Kα (λ = 1.5418 Å)).
Peak positions follow from Bragg's law for the DFT cell and can differ from measured ones.

Top 10 peaks for 10° ≤ 2θ ≤ 80°, by angle:
d [Å], 2θ (°), I (rel.)
2.791, 32.07, 31
2.602, 34.47, 76
2.578, 34.80, 43
2.311, 38.98, 79
2.264, 39.82, 32
2.253, 40.01, 41
2.213, 40.78, 28
2.193, 41.17, 31
2.176, 41.50, 100
1.877, 48.50, 42

Atomic structure:
Unit cell a=7.5239 b=7.0881 c=5.6577 alpha=90.00 beta=128.54 gamma=90.00
Space group C2 (No. 5)
Inequivalent atoms, fractional coordinates:
Y 0.0000 0.0000 0.0000 [2 per cell]
Fe 0.0000 0.4592 0.5000 [2 per cell]
Fe 0.0000 0.7980 0.5000 [2 per cell]
Fe 0.1428 0.3617 0.9747 [4 per cell]
Fe 0.2348 0.6334 0.3142 [4 per cell]
B 0.1188 0.6515 0.8764 [4 per cell]
B 0.1986 0.3548 0.3980 [4 per cell]

***

No. 4
Structure and calculated powder diffraction line list of DyTm7Th3 (a structure optimized by DFT (GGA-PBE); Cu Kα (λ = 1.5418 Å)).
Peak positions follow from Bragg's law for the DFT cell and can differ from measured ones.

Top 10 peaks for 10° ≤ 2θ ≤ 80°, by angle:
d [Å], 2θ (°), I (rel.)
4.713, 18.83, 11
2.826, 31.66, 32
2.776, 32.25, 100
2.768, 32.34, 13
2.730, 32.81, 40
2.722, 32.91, 46
1.945, 46.69, 23
1.585, 58.22, 19
1.582, 58.33, 11
1.453, 64.10, 16

Atomic structure:
Unit cell a=6.8620 b=5.4599 c=10.0129 alpha=90.00 beta=109.84 gamma=90.00
Space group P2/m (No. 10)
Inequivalent atoms, fractional coordinates:
Dy 0.0000 0.0000 0.0000 [1 per cell]
Tm 0.0855 0.0000 0.6703 [2 per cell]
Tm 0.1752 0.5000 0.8611 [2 per cell]
Tm 0.3608 0.5000 0.2068 [2 per cell]
Tm 0.5000 0.0000 0.5000 [1 per cell]
Th 0.2222 0.5000 0.5007 [2 per cell]
Th 0.5000 0.0000 0.0000 [1 per cell]

***

No. 5
Structure and calculated powder diffraction line list of La4SmS6 (a structure optimized by DFT (GGA-PBE); Cu Kα (λ = 1.5418 Å)).
Peak positions follow from Bragg's law for the DFT cell and can differ from measured ones.

Top 10 peaks for 10° ≤ 2θ ≤ 80°, by angle:
d [Å], 2θ (°), I (rel.)
3.639, 24.46, 57
3.357, 26.55, 100
2.874, 31.12, 45
2.739, 32.69, 33
2.576, 34.83, 46
2.467, 36.41, 44
2.196, 41.10, 19
1.937, 46.90, 19
1.928, 47.14, 36
1.331, 70.81, 21

Atomic structure:
Unit cell a=11.6293 b=11.6293 c=13.9970 alpha=90.00 beta=90.00 gamma=120.00
Space group R-3c (No. 167, hexagonal axes)
Inequivalent atoms, fractional coordinates:
La 0.0000 0.0000 0.2500 [6 per cell]
La 0.0000 0.3772 0.2500 [18 per cell]
Sm 0.0000 0.0000 0.0000 [6 per cell]
S 0.0271 0.2023 0.3858 [36 per cell]

***

No. 6
Structure and calculated powder diffraction line list of NaCe3Pr4Te8 (a structure optimized by DFT (GGA-PBE); Cu Kα (λ = 1.5418 Å)).
Peak positions follow from Bragg's law for the DFT cell and can differ from measured ones.

Top 10 peaks for 10° ≤ 2θ ≤ 80°, by angle:
d [Å], 2θ (°), I (rel.)
7.381, 11.99, 3
3.196, 27.91, 100
2.260, 39.89, 76
1.849, 49.27, 7
1.844, 49.43, 21
1.598, 57.68, 13
1.431, 65.21, 18
1.428, 65.34, 18
1.307, 72.27, 6
1.304, 72.48, 19

Atomic structure:
Unit cell a=9.0302 b=9.0302 c=22.1932 alpha=90.00 beta=90.00 gamma=120.00
Space group R-3m (No. 166, hexagonal axes)
Inequivalent atoms, fractional coordinates:
Na 0.0000 0.0000 0.0000 [3 per cell]
Ce 0.0000 0.5000 0.0000 [9 per cell]
Pr 0.0000 0.0000 0.5000 [3 per cell]
Pr 0.0000 0.5000 0.5000 [9 per cell]
Te 0.0000 0.0000 0.2509 [6 per cell]
Te 0.0025 0.5013 0.7485 [18 per cell]

***

> What is the formula in the first record?

TbTm2ScTl4